The following is a simulated XRD peak list of Pm2NF. It was derived from a DFT-relaxed cell (GGA-PBE, Alexandria), using Cu Kα (λ = 1.5418 Å).

Cell and atoms:
```
data_Pm2NF
_chemical_formula_sum 'Pm2 N1 F1'
_space_group_name_H-M_alt 'P 3 m 1'
_space_group_IT_number 156
_space_group_name_Hall 'P 3 -2"'
_cell_length_a 3.6254
_cell_length_b 3.6254
_cell_length_c 6.6243
_cell_angle_alpha 90.00
_cell_angle_beta 90.00
_cell_angle_gamma 120.00
loop_
_atom_site_label
_atom_site_type_symbol
_atom_site_fract_x
_atom_site_fract_y
_atom_site_fract_z
_atom_site_occupancy
Pm1 Pm 0.0000 0.0000 0.0000 1
Pm2 Pm 0.3333 0.6667 0.4200 1
N1 N 0.6667 0.3333 0.1809 1
F1 F 0.3333 0.6667 0.7803 1
```

Principal peaks in the range 2θ = 5–70°, most intense first:
d [Å]  two_theta  I_rel  h k l
2.837  31.53  100  0 1 1
2.279  39.55  35  1 0 2
1.806  50.53  25  0 1 3
1.813  50.34  25  1 1 0
3.140  28.43  24  1 0 0
3.312  26.92  23  0 0 2